Entry 1:
Computed powder diffraction line list of Zn7Cu2Pt2 for a wavelength of 1.5418 Å, from a structure optimized by DFT (GGA-PBE).

Atomic structure:
Cell: 4.167 11.299 6.826 Å, 90.00 90.00 90.00°
Space group Imm2 (No. 44)
Unique sites:
Zn (0.000, 0.000, 0.000) (multiplicity 2)
Zn (0.000, 0.140, 0.667) (multiplicity 4)
Zn (0.000, 0.356, 0.456) (multiplicity 4)
Zn (0.000, 0.364, 0.865) (multiplicity 4)
Cu (0.000, 0.000, 0.375) (multiplicity 2)
Cu (0.000, 0.500, 0.165) (multiplicity 2)
Pt (0.000, 0.212, 0.161) (multiplicity 4)

Peak list (10 most intense, 2θ = 10–80°, by angle)
two_theta  Rel. int.  index
15.69  212  0 2 0
25.03  268  1 0 1
30.60  247  0 2 2
40.79  575  1 4 1
41.78  1000  1 3 2
43.43  414  2 0 0
45.67  154  1 5 0
48.34  232  1 2 3
71.69  144  0 7 3
78.57  146  3 3 2



Entry 2:
Computed powder diffraction line list of Zr3TiPt2C for a wavelength of 1.5418 Å, from a structure optimized by DFT (GGA-PBE).

Atomic structure:
Cell: 4.137 4.465 13.786 Å, 90.00 90.00 90.00°
Space group Immm (No. 71)
Unique sites:
Zr (0.000, 0.000, 0.000) (multiplicity 2)
Zr (0.000, 0.500, 0.174) (multiplicity 4)
Ti (0.000, 0.000, 0.500) (multiplicity 2)
Pt (0.000, 0.500, 0.364) (multiplicity 4)
C (0.000, 0.500, 0.000) (multiplicity 2)

Peak list (10 most intense, 2θ = 10–80°, by angle)
two_theta  Rel. int.  index
20.91  314  0 1 1
25.85  183  0 0 4
29.43  682  1 1 0
32.23  477  1 1 2
39.24  388  0 0 6
39.57  1000  1 1 4
40.40  390  0 2 0
43.77  310  2 0 0
57.58  249  0 2 6
61.07  227  2 2 0



Entry 3:
Computed powder diffraction line list of PuTcGe2 for a wavelength of 1.5418 Å, from a structure optimized by DFT (GGA-PBE).

Atomic structure:
Cell: 4.368 6.465 5.510 Å, 90.00 107.40 90.00°
Space group P2_1/m (No. 11)
Unique sites:
Pu (0.044, 0.250, 0.134) (multiplicity 2)
Tc (0.127, 0.750, 0.411) (multiplicity 2)
Ge (0.416, 0.047, 0.724) (multiplicity 4)

Peak list (10 most intense, 2θ = 10–80°, by angle)
two_theta  Rel. int.  index
21.31  287  1 0 0
27.60  251  0 2 0
34.13  531  1 1 1
35.13  1000  1 2 0
36.17  277  1 2 -1
36.91  613  0 1 2
37.25  588  1 1 -2
41.56  307  2 0 -1
45.49  170  0 3 1
53.84  169  2 1 1



Entry 4:
Computed powder diffraction line list of PdS2Cl for a wavelength of 1.5418 Å, from a structure optimized by DFT (GGA-PBE).

Atomic structure:
Cell: 8.160 10.521 4.940 Å, 90.00 90.00 90.00°
Space group C222_1 (No. 20)
Unique sites:
Pd (0.208, 0.000, 0.000) (multiplicity 4)
S (0.116, 0.410, 0.807) (multiplicity 8)
Cl (0.000, 0.116, 0.250) (multiplicity 4)

Peak list (10 most intense, 2θ = 10–80°, by angle)
two_theta  Rel. int.  index
16.85  1000  0 2 0
22.67  791  1 1 1
24.72  359  0 2 1
27.67  220  2 2 0
33.19  628  1 3 1
38.75  272  3 1 1
40.82  174  2 4 0
46.31  194  2 2 2
48.31  231  1 5 1
50.68  323  0 4 2



Entry 5:
Computed powder diffraction line list of Fe21P6W2 for a wavelength of 1.5418 Å, from a structure optimized by DFT (GGA-PBE).

Atomic structure:
Cell: 11.054 11.054 11.054 Å, 90.00 90.00 90.00°
Space group Fm-3m (No. 225)
Unique sites:
Fe (0.000, 0.000, 0.000) (multiplicity 4)
Fe (0.000, 0.172, 0.172) (multiplicity 48)
Fe (0.124, 0.124, 0.376) (multiplicity 32)
P (0.000, 0.000, 0.278) (multiplicity 24)
W (0.250, 0.250, 0.250) (multiplicity 8)

Peak list (10 most intense, 2θ = 10–80°, by angle)
two_theta  Rel. int.  index
16.04  386  2 0 0
36.35  632  4 2 0
39.96  719  4 2 2
42.49  1000  3 3 3
46.47  673  4 4 0
48.74  301  5 3 1
52.35  159  6 2 0
55.11  394  6 2 2
70.22  195  8 2 0
72.57  392  6 6 0



Entry 6:
Computed powder diffraction line list of TlPPb2 for a wavelength of 1.5418 Å, from a structure optimized by DFT (GGA-PBE).

Atomic structure:
Cell: 3.9790 3.9790 25.8044 Å, 90.00 90.00 120.00°
Space group R-3m (No. 166, hexagonal axes)
Unique sites:
Tl (0.0000, 0.0000, 0.0000) (multiplicity 3)
P (0.0000, 0.0000, 0.5000) (multiplicity 3)
Pb (0.0000, 0.0000, 0.2322) (multiplicity 6)

Peak list (10 most intense, 2θ = 10–80°, by angle)
two_theta  Rel. int.  index
26.09  169  1 0 1
29.39  1000  1 0 4
31.20  565  0 0 9
38.22  329  0 1 8
45.60  349  1 1 0
53.26  218  1 0 13
55.18  176  0 2 4
56.28  319  1 1 9
72.67  120  0 2 13
74.29  149  2 1 4



Entry 7:
Computed powder diffraction line list of LaDy4Er2 for a wavelength of 1.5418 Å, from a structure optimized by DFT (GGA-PBE).

Atomic structure:
Cell: 7.068 8.601 8.824 Å, 114.61 101.42 101.77°
Space group P1 (No. 1)
Unique sites:
La (0.000, 0.000, 0.000) (multiplicity 1)
La (0.301, 0.668, 0.546) (multiplicity 1)
Dy (0.025, 0.827, 0.279) (multiplicity 1)
Dy (0.107, 0.555, 0.874) (multiplicity 1)
Dy (0.388, 0.403, 0.137) (multiplicity 1)
Dy (0.413, 0.229, 0.415) (multiplicity 1)
Dy (0.501, 0.002, 0.002) (multiplicity 1)
Dy (0.608, 0.555, 0.872) (multiplicity 1)
Dy (0.705, 0.117, 0.703) (multiplicity 1)
Dy (0.908, 0.232, 0.416) (multiplicity 1)
Er (0.208, 0.124, 0.706) (multiplicity 1)
Er (0.525, 0.824, 0.273) (multiplicity 1)
Er (0.800, 0.667, 0.536) (multiplicity 1)
Er (0.881, 0.404, 0.135) (multiplicity 1)

Peak list (10 most intense, 2θ = 10–80°, by angle)
two_theta  Rel. int.  index
30.00  745  2 -2 0
31.23  479  2 -2 1
31.24  479  2 1 -2
31.39  1000  0 1 -3
31.51  949  0 2 1
32.51  891  0 3 -2
33.00  449  2 0 1
33.12  437  -2 1 2
51.73  257  -4 1 1
62.44  278  4 -4 1



Entry 8:
Computed powder diffraction line list of CuO for a wavelength of 1.5418 Å, from a structure optimized by DFT (GGA-PBE).

Atomic structure:
Cell: 5.0829 5.0829 2.7636 Å, 90.00 90.00 120.00°
Space group P-62m (No. 189)
Unique sites:
Cu (0.0000, 0.0000, 0.0000) (multiplicity 1)
Cu (0.3333, 0.6667, 0.5000) (multiplicity 2)
O (0.0000, 0.3753, 0.0000) (multiplicity 3)

Peak list (10 most intense, 2θ = 10–80°, by angle)
two_theta  Rel. int.  index
35.32  1000  1 1 0
38.46  766  1 0 1
48.67  206  1 1 1
53.20  382  2 0 1
63.39  264  3 0 0
65.48  319  2 1 1
67.82  75  0 0 2
73.01  9  3 0 1
74.70  105  2 2 0
78.85  171  1 1 2



Entry 9:
Computed powder diffraction line list of BaMnAlS4 for a wavelength of 1.5418 Å, from a structure optimized by DFT (GGA-PBE).

Atomic structure:
Cell: 5.939 6.646 8.611 Å, 90.00 105.55 90.00°
Space group P2_1/m (No. 11)
Unique sites:
Ba (0.240, 0.250, 0.089) (multiplicity 2)
Mn (0.107, 0.750, 0.504) (multiplicity 2)
Al (0.392, 0.250, 0.689) (multiplicity 2)
S (0.100, 0.014, 0.693) (multiplicity 4)
S (0.335, 0.750, 0.079) (multiplicity 2)
S (0.487, 0.250, 0.457) (multiplicity 2)

Peak list (10 most intense, 2θ = 10–80°, by angle)
two_theta  Rel. int.  index
20.48  645  1 1 0
21.10  734  1 1 -1
22.86  858  1 0 -2
25.03  853  1 1 1
26.83  1000  0 2 0
29.80  633  1 0 2
30.19  779  2 0 -1
33.13  686  2 1 -1
34.59  779  0 2 2
35.53  762  1 2 -2



Entry 10:
Computed powder diffraction line list of V4B4Os for a wavelength of 1.5418 Å, from a structure optimized by DFT (GGA-PBE).

Atomic structure:
Cell: 6.604 6.604 4.398 Å, 90.00 90.00 90.00°
Space group P4_2/n (No. 86, origin choice 2)
Unique sites:
V (0.070, 0.661, 0.119) (multiplicity 8)
B (0.014, 0.611, 0.604) (multiplicity 8)
Os (0.250, 0.250, 0.250) (multiplicity 2)

Peak list (10 most intense, 2θ = 10–80°, by angle)
two_theta  Rel. int.  index
19.00  255  1 1 0
24.32  648  1 0 1
27.00  197  2 0 0
36.65  1000  2 1 1
43.33  581  1 3 0
45.60  172  1 1 2
49.82  133  2 0 2
54.25  157  2 3 1
61.62  133  4 1 1
75.09  200  5 0 1



Entry 11:
Computed powder diffraction line list of Sr2LiPt for a wavelength of 1.5418 Å, from a structure optimized by DFT (GGA-PBE).

Atomic structure:
Cell: 4.500 4.519 11.620 Å, 90.00 90.00 90.00°
Space group Amm2 (No. 38)
Unique sites:
Sr (0.000, 0.000, 0.000) (multiplicity 2)
Sr (0.500, 0.000, 0.282) (multiplicity 2)
Li (0.000, 0.000, 0.687) (multiplicity 2)
Pt (0.500, 0.000, 0.574) (multiplicity 2)

Peak list (10 most intense, 2θ = 10–80°, by angle)
two_theta  Rel. int.  index
15.25  432  0 0 2
19.73  290  1 0 0
29.04  1000  1 1 1
30.39  470  0 1 3
36.50  543  1 1 3
36.83  248  1 0 4
39.90  197  0 2 0
51.11  221  2 1 3
51.36  218  1 0 6
66.95  198  1 2 6



Entry 12:
Computed powder diffraction line list of MgCd3S4 for a wavelength of 1.5418 Å, from a structure optimized by DFT (GGA-PBE).

Atomic structure:
Cell: 5.867 5.867 5.867 Å, 90.00 90.00 90.00°
Space group P-43m (No. 215)
Unique sites:
Mg (0.000, 0.000, 0.000) (multiplicity 1)
Cd (0.000, 0.500, 0.500) (multiplicity 3)
S (0.243, 0.243, 0.243) (multiplicity 4)

Peak list (10 most intense, 2θ = 10–80°, by angle)
two_theta  Rel. int.  index
15.10  117  1 0 0
21.42  123  1 1 0
26.31  1000  1 1 1
30.47  183  2 0 0
34.17  87  2 1 0
43.63  593  2 2 0
51.67  436  3 1 1
63.41  91  4 0 0
69.88  169  3 3 1
71.97  62  4 2 0



Entry 13:
Computed powder diffraction line list of Sr2CrNiTe for a wavelength of 1.5418 Å, from a structure optimized by DFT (GGA-PBE).

Atomic structure:
Cell: 5.748 5.748 4.585 Å, 90.00 90.00 90.00°
Space group P4/mmm (No. 123)
Unique sites:
Sr (0.000, 0.500, 0.000) (multiplicity 2)
Cr (0.000, 0.000, 0.500) (multiplicity 1)
Ni (0.000, 0.000, 0.000) (multiplicity 1)
Te (0.500, 0.500, 0.500) (multiplicity 1)

Peak list (10 most intense, 2θ = 10–80°, by angle)
two_theta  Rel. int.  index
24.84  331  1 0 1
29.37  1000  1 1 1
31.12  906  2 0 0
39.30  237  0 0 2
40.22  186  2 1 1
44.58  328  2 2 0
50.95  437  2 0 2
54.29  345  3 1 1
60.92  251  2 2 2
73.71  141  4 2 0



Entry 14:
Computed powder diffraction line list of CuSiNiC for a wavelength of 1.5418 Å, from a structure optimized by DFT (GGA-PBE).

Atomic structure:
Cell: 3.199 3.942 3.970 Å, 106.15 96.05 103.53°
Space group P1 (No. 1)
Unique sites:
Cu (0.000, 0.000, 0.000) (multiplicity 1)
Si (0.374, 0.253, 0.604) (multiplicity 1)
Ni (0.030, 0.619, 0.388) (multiplicity 1)
C (0.951, 0.460, 0.852) (multiplicity 1)

Peak list (10 most intense, 2θ = 10–80°, by angle)
two_theta  Rel. int.  index
28.32  250  0 1 -1
29.21  1000  1 0 0
34.29  278  1 0 -1
39.27  352  1 -1 1
39.54  591  0 1 1
42.21  218  -1 1 1
42.94  238  1 1 -1
47.07  327  0 1 -2
48.26  345  0 2 -1
50.82  245  1 -2 0